Entry 1:
For Pa2CuPbS8, the PBE geometry in Alexandria gives the theoretical XRD peak list in this record (Cu Kα (λ = 1.5418 Å)).
Peak positions follow from Bragg's law for the DFT cell and can differ from measured ones.

Crystal structure
Cell lengths 5.876, 5.876, 8.356 Å; angles 90.00, 90.00, 120.00 degrees
Sites, in units of the cell vectors:
Pa1 0.333 0.667 0.368
Pa2 0.667 0.333 0.632
Cu1 0.000 0.000 0.500
Pb1 0.000 0.000 0.000
S1 0.176 0.352 0.670
S2 0.176 0.824 0.670
S3 0.333 0.667 0.072
S4 0.352 0.176 0.330
S5 0.648 0.824 0.670
S6 0.667 0.333 0.928
S7 0.824 0.176 0.330
S8 0.824 0.648 0.330

Main lines, in order of rising 2θ (10 to 80 degrees two-theta):
2theta	I (rel.)
10.59	27
20.43	100
27.62	59
30.42	82
36.93	57
41.56	46

Entry 2:
For ScUTe4, the PBE geometry in Alexandria gives the theoretical XRD peak list in this record (Cu Kα (λ = 1.5418 Å)).
Peak positions follow from Bragg's law for the DFT cell and can differ from measured ones.

Crystal structure
Cell lengths 8.441, 6.763, 8.375 Å; angles 90.00, 119.58, 90.00 degrees
Sites, in units of the cell vectors:
Sc1 0.000 0.000 0.000
Sc2 0.000 0.500 0.500
U1 0.500 0.000 0.000
U2 0.500 0.500 0.500
Te1 0.167 0.245 0.838
Te2 0.167 0.255 0.338
Te3 0.317 0.745 0.150
Te4 0.317 0.755 0.650
Te5 0.683 0.245 0.350
Te6 0.683 0.255 0.850
Te7 0.833 0.745 0.662
Te8 0.833 0.755 0.162

Main lines, in order of rising 2θ (10 to 80 degrees two-theta):
2theta	I (rel.)
17.90	79
24.86	34
27.65	42
27.85	100
36.12	41
36.28	63

Entry 3:
For CsMg2NpI8, the PBE geometry in Alexandria gives the theoretical XRD peak list in this record (Cu Kα (λ = 1.5418 Å)).
Peak positions follow from Bragg's law for the DFT cell and can differ from measured ones.

Crystal structure
Cell lengths 7.638, 7.638, 11.302 Å; angles 90.00, 90.00, 120.00 degrees
Sites, in units of the cell vectors:
Cs1 0.000 0.000 0.000
Mg1 0.333 0.667 0.750
Mg2 0.667 0.333 0.250
Np1 0.000 0.000 0.500
I1 0.010 0.681 0.332
I2 0.319 0.330 0.332
I3 0.330 0.010 0.668
I4 0.333 0.667 0.985
I5 0.667 0.333 0.015
I6 0.670 0.990 0.332
I7 0.681 0.670 0.668
I8 0.990 0.319 0.668

Main lines, in order of rising 2θ (10 to 80 degrees two-theta):
2theta	I (rel.)
15.52	26
24.60	67
28.20	100
39.68	43
40.93	39
50.43	24

Entry 4:
For Th5Sc4, the PBE geometry in Alexandria gives the theoretical XRD peak list in this record (Cu Kα (λ = 1.5418 Å)).
Peak positions follow from Bragg's law for the DFT cell and can differ from measured ones.

Crystal structure
Cell lengths 7.703, 7.703, 7.703 Å; angles 95.68, 95.68, 143.33 degrees
Sites, in units of the cell vectors:
Th1 0.000 0.000 0.000
Th2 0.000 0.330 0.330
Th3 0.000 0.670 0.670
Th4 0.330 0.000 0.330
Th5 0.670 0.000 0.670
Sc1 0.330 0.330 0.660
Sc2 0.330 0.670 0.000
Sc3 0.670 0.330 0.000
Sc4 0.670 0.670 0.340

Main lines, in order of rising 2θ (10 to 80 degrees two-theta):
2theta	I (rel.)
20.24	24
31.86	100
36.88	34
37.10	17
53.31	24
63.31	28

Entry 5:
For TcP2, the PBE geometry in Alexandria gives the theoretical XRD peak list in this record (Cu Kα (λ = 1.5418 Å)).
Peak positions follow from Bragg's law for the DFT cell and can differ from measured ones.

Crystal structure
Cell lengths 8.616, 3.052, 6.865 Å; angles 90.00, 101.23, 90.00 degrees
Sites, in units of the cell vectors:
Tc1 0.000 0.000 0.000
Tc2 0.214 0.000 0.423
Tc3 0.500 0.500 0.000
Tc4 0.714 0.500 0.423
P1 0.002 0.500 0.458
P2 0.077 0.500 0.786
P3 0.292 0.000 0.109
P4 0.299 0.500 0.697
P5 0.502 0.000 0.458
P6 0.577 0.000 0.786
P7 0.792 0.500 0.109
P8 0.799 0.000 0.697

Main lines, in order of rising 2θ (10 to 80 degrees two-theta):
2theta	I (rel.)
22.56	61
26.47	45
27.01	50
33.10	100
42.75	63
47.78	48

Entry 6:
For Pm6Tm5In, the PBE geometry in Alexandria gives the theoretical XRD peak list in this record (Cu Kα (λ = 1.5418 Å)).
Peak positions follow from Bragg's law for the DFT cell and can differ from measured ones.

Crystal structure
Cell lengths 9.389, 9.389, 9.389 Å; angles 148.94, 116.57, 72.31 degrees
Sites, in units of the cell vectors:
Pm1 0.079 0.333 0.746
Pm2 0.246 0.000 0.246
Pm3 0.413 0.667 0.746
Pm4 0.587 0.333 0.254
Pm5 0.754 0.000 0.754
Pm6 0.921 0.667 0.254
Tm1 0.167 0.167 0.000
Tm2 0.336 0.836 0.500
Tm3 0.500 0.500 0.000
Tm4 0.664 0.164 0.500
Tm5 0.833 0.833 0.000
In1 0.000 0.500 0.500

Main lines, in order of rising 2θ (10 to 80 degrees two-theta):
2theta	I (rel.)
30.94	100
35.52	17
35.71	17
36.41	16
60.96	14
61.21	14